Starting from a PBE-relaxed structure, the PXRD pattern of SrCeO3 was computed for a wavelength of 1.5418 Å.
Intensities are scaled so that the largest is 100.

Principal peaks in the range 10 to 90 degrees two-theta, in order of rising 2θ:
d (Å)  two_theta  I/Imax  (hkl)
4.332  20.50  17  1 0 1
3.103  28.77  24  2 0 0
3.064  29.15  100  1 2 1
3.025  29.53  23  0 0 2
2.166  41.70  38  0 4 0
1.784  51.21  18  3 2 1
1.754  52.16  25  1 2 3
1.370  68.48  16  1 6 1

Structural model:
```
data_SrCeO3
_chemical_formula_sum 'Sr4 Ce4 O12'
_space_group_name_H-M_alt 'P n m a'
_space_group_IT_number 62
_cell_length_a 6.2057
_cell_length_b 8.6678
_cell_length_c 6.0490
_cell_angle_alpha 90.00
_cell_angle_beta 90.00
_cell_angle_gamma 90.00
loop_
_space_group_symop_operation_xyz
'x,y,z'
'-x,-y,-z'
'-x+1/2,-y,z+1/2'
'x+1/2,y,-z+1/2'
'x+1/2,-y+1/2,-z+1/2'
'-x+1/2,y+1/2,z+1/2'
'-x,y+1/2,-z'
'x,-y+1/2,z'
loop_
_atom_site_label
_atom_site_fract_x
_atom_site_fract_y
_atom_site_fract_z
Sr1 0.0459 0.2500 0.0115
Ce1 0.0000 0.0000 0.5000
O1 0.0443 0.7500 0.3943
O2 0.2000 0.5565 0.8001
```